# 1
Diffraction record for Na2InPd3. The powder X-ray diffraction pattern is computed, not measured: it uses a PBE-relaxed structure and CuKα.
Neutral-atom scattering factors, no anomalous dispersion.

Largest 6 diffraction maxima, in order of falling intensity, 10 to 80 degrees two-theta:
2θ/deg	I/Imax
19.50	100
39.59	89
38.15	66
46.56	43
39.06	33
37.69	31

abc: 5.6062 5.6062 13.1047
angles: 90.00 90.00 120.00
Space group R-3m (No. 166, hexagonal axes)
Symmetry-distinct sites (fractional):
1 Na 0.0000 0.0000 0.1196 x6
2 In 0.0000 0.0000 0.5000 x3
3 Pd 0.0000 0.5000 0.0000 x9

=====

# 2
Diffraction record for Na2In6Pd. The powder X-ray diffraction pattern is computed, not measured: it uses a PBE-relaxed structure and CuKα.
Neutral-atom scattering factors, no anomalous dispersion.

Largest 6 diffraction maxima, in order of falling intensity, 10 to 80 degrees two-theta:
2θ/deg	I/Imax
34.29	100
43.41	34
21.31	30
15.24	21
54.68	21
30.54	14

abc: 6.7149 6.7149 5.9791
angles: 90.00 90.00 120.00
Space group P-3m1 (No. 164)
Symmetry-distinct sites (fractional):
1 Na 0.3333 0.6667 0.1836 x2
2 In 0.1757 0.3514 0.6961 x6
3 Pd 0.0000 0.0000 0.0000 x1

=====

# 3
Diffraction record for NaIn3Pd3. The powder X-ray diffraction pattern is computed, not measured: it uses a PBE-relaxed structure and CuKα.
Neutral-atom scattering factors, no anomalous dispersion.

Largest 6 diffraction maxima, in order of falling intensity, 10 to 80 degrees two-theta:
2θ/deg	I/Imax
40.07	100
39.26	77
22.37	75
57.35	28
71.71	25
73.34	15

abc: 7.9484 7.9484 16.3786
angles: 90.00 90.00 120.00
Space group R-3 (No. 148, hexagonal axes)
Symmetry-distinct sites (fractional):
1 Na 0.0000 0.0000 0.1644 x6
2 In 0.0039 0.3560 0.3882 x18
3 Pd 0.0004 0.2993 0.5551 x18

=====

# 4
Diffraction record for Na2In9Pd3. The powder X-ray diffraction pattern is computed, not measured: it uses a PBE-relaxed structure and CuKα.
Neutral-atom scattering factors, no anomalous dispersion.

Largest 6 diffraction maxima, in order of falling intensity, 10 to 80 degrees two-theta:
2θ/deg	I/Imax
37.79	100
33.31	48
33.08	37
33.20	35
16.56	30
41.59	27

abc: 14.286 8.246 11.753
angles: 90.00 114.33 90.00
Space group C2/c (No. 15)
Symmetry-distinct sites (fractional):
1 Na 0.168 0.084 0.250 x8
2 In 0.000 0.351 0.250 x4
3 In 0.058 0.074 0.922 x8
4 In 0.110 0.412 0.069 x8
5 In 0.115 0.303 0.749 x8
6 In 0.228 0.413 0.423 x8
7 Pd 0.083 0.251 0.501 x8
8 Pd 0.250 0.250 0.000 x4

=====

# 5
Diffraction record for Na2InPd5Pt2. The powder X-ray diffraction pattern is computed, not measured: it uses a PBE-relaxed structure and CuKα.
Neutral-atom scattering factors, no anomalous dispersion.

Largest 6 diffraction maxima, in order of falling intensity, 10 to 80 degrees two-theta:
2θ/deg	I/Imax
37.36	100
21.27	70
41.06	63
43.61	29
44.51	18
49.01	16

abc: 9.342 9.342 4.151
angles: 90.00 90.00 90.00
Space group P4/mbm (No. 127)
Symmetry-distinct sites (fractional):
1 Na 0.172 0.328 0.000 x4
2 In 0.000 0.000 0.000 x2
3 Pd 0.000 0.500 0.500 x2
4 Pd 0.066 0.800 0.500 x8
5 Pt 0.124 0.624 0.000 x4

=====

# 6
Diffraction record for Na2InSn2Pd5. The powder X-ray diffraction pattern is computed, not measured: it uses a PBE-relaxed structure and CuKα.
Neutral-atom scattering factors, no anomalous dispersion.

Largest 6 diffraction maxima, in order of falling intensity, 10 to 80 degrees two-theta:
2θ/deg	I/Imax
36.90	100
18.63	51
39.81	32
43.39	26
16.65	21
34.85	17

abc: 10.649 10.649 3.527
angles: 90.00 90.00 90.00
Space group P4/mbm (No. 127)
Symmetry-distinct sites (fractional):
1 Na 0.169 0.331 0.000 x4
2 In 0.000 0.000 0.000 x2
3 Sn 0.134 0.634 0.000 x4
4 Pd 0.000 0.500 0.500 x2
5 Pd 0.054 0.806 0.500 x8